# 1
Theoretical X-ray diffraction stick pattern
Compound: Tb3Pd2Au4
Radiation: Cu Kα X-rays
Structure: DFT lattice parameters and positions (GGA-PBE)

Atomic structure:
```
Tb3Pd2Au4
1.0
6.971 -5.214 0.000
6.971 5.214 0.000
-1.024 0.000 5.160
Tb Pd Au
6 4 8
Cartesian
6.202 3.999 3.870
3.724 1.354 4.716
4.237 -1.354 2.136
8.680 1.354 3.024
9.192 -1.354 0.444
6.715 -3.999 1.290
5.236 3.903 0.987
8.193 3.903 1.593
4.724 -3.903 3.567
7.681 -3.903 4.173
2.724 1.213 1.831
5.703 1.384 2.431
2.212 -1.213 4.411
7.726 1.384 0.149
5.191 -1.384 5.011
10.705 1.213 0.749
7.214 -1.384 2.729
10.193 -1.213 3.329
```

Top 10 peaks for 2θ = 10–90°, in order of falling intensity:
38.40 deg, intensity 100
43.08 deg, intensity 72
34.40 deg, intensity 66
35.08 deg, intensity 64
35.19 deg, intensity 64
63.66 deg, intensity 23
64.28 deg, intensity 21
56.22 deg, intensity 16
56.29 deg, intensity 16
72.95 deg, intensity 14

# 2
Theoretical X-ray diffraction stick pattern
Compound: Zn5SeS4
Radiation: Cu Kα X-rays
Structure: DFT lattice parameters and positions (GGA-PBE)

Atomic structure:
```
Zn5SeS4
1.0
-1.945 1.945 13.773
1.945 -1.945 13.773
1.945 1.945 -13.773
Zn Se S
5 1 4
Cartesian
0.000 0.000 0.000
0.000 0.000 5.391
0.000 0.000 11.082
0.000 0.000 16.465
0.000 0.000 22.156
0.000 1.945 6.887
1.945 0.000 4.041
1.945 0.000 9.732
0.000 1.945 1.346
0.000 1.945 12.427
```

Top 10 peaks for 2θ = 10–90°, in order of falling intensity:
28.08 deg, intensity 100
46.67 deg, intensity 65
55.36 deg, intensity 40
86.65 deg, intensity 20
75.25 deg, intensity 15
68.18 deg, intensity 7
32.53 deg, intensity 6
68.07 deg, intensity 3
24.86 deg, intensity 2
23.09 deg, intensity 2

# 3
Theoretical X-ray diffraction stick pattern
Compound: Er3ScPt12
Radiation: Cu Kα X-rays
Structure: DFT lattice parameters and positions (GGA-PBE)

Atomic structure:
```
Er3ScPt12
1.0
4.084 0.000 0.000
0.000 4.084 0.000
0.000 0.000 16.266
Er Sc Pt
3 1 12
Cartesian
0.000 0.000 0.000
0.000 0.000 4.105
0.000 0.000 12.160
0.000 0.000 8.133
0.000 2.042 2.057
0.000 2.042 6.182
0.000 2.042 10.083
0.000 2.042 14.208
2.042 0.000 2.057
2.042 0.000 6.182
2.042 0.000 10.083
2.042 0.000 14.208
2.042 2.042 0.000
2.042 2.042 4.118
2.042 2.042 8.133
2.042 2.042 12.148
```

Top 10 peaks for 2θ = 10–90°, in order of falling intensity:
38.23 deg, intensity 100
44.36 deg, intensity 33
77.56 deg, intensity 26
64.70 deg, intensity 21
44.56 deg, intensity 16
77.85 deg, intensity 13
81.82 deg, intensity 11
64.54 deg, intensity 11
21.79 deg, intensity 2
31.01 deg, intensity 2